1.
Simulated XRD peak list of La2PrErTh for a wavelength of 1.5418 Å, from the GGA-PBE geometry in Alexandria.
No peak broadening, texture or thermal motion is included.

Principal peaks in the range 15° ≤ 2θ ≤ 90°, in order of rising 2θ:
2theta  Rel. int.
20.56  50
27.06  50
29.83  100
30.53  44
31.05  40
31.56  47
32.35  75
34.94  54
36.99  56
37.19  55

Cell and atoms:
Unit cell a=9.2270 b=6.3865 c=6.5905 alpha=90.00 beta=110.55 gamma=90.00
Positions (direct):
1 La 0.1861 0.1918 0.3423
2 La 0.1861 0.8082 0.8423
3 La 0.8139 0.1918 0.1577
4 La 0.8139 0.8082 0.6577
5 Pr 0.0000 0.3365 0.7500
6 Pr 0.0000 0.6635 0.2500
7 Er 0.5000 0.0012 0.7500
8 Er 0.5000 0.9988 0.2500
9 Th 0.5000 0.5000 0.0000
10 Th 0.5000 0.5000 0.5000

=====

2.
Simulated XRD peak list of Ba2CoHg for a wavelength of 1.5418 Å, from the GGA-PBE geometry in Alexandria.
No peak broadening, texture or thermal motion is included.

Principal peaks in the range 15° ≤ 2θ ≤ 90°, in order of rising 2θ:
2theta  Rel. int.
27.38  100
28.52  69
34.33  67
34.65  34
37.39  30
37.95  29
48.15  55
51.88  21
54.33  20
62.51  20

Cell and atoms:
Unit cell a=4.7424 b=4.8109 c=12.3609 alpha=90.00 beta=90.00 gamma=90.00
Positions (direct):
1 Ba 0.0000 0.0000 0.0000
2 Ba 0.0000 0.5000 0.5000
3 Ba 0.5000 0.0000 0.2811
4 Ba 0.5000 0.5000 0.7811
5 Co 0.0000 0.0000 0.6803
6 Co 0.0000 0.5000 0.1803
7 Hg 0.5000 0.0000 0.5822
8 Hg 0.5000 0.5000 0.0822

=====

3.
Simulated XRD peak list of La3InTc for a wavelength of 1.5418 Å, from the GGA-PBE geometry in Alexandria.
No peak broadening, texture or thermal motion is included.

Principal peaks in the range 15° ≤ 2θ ≤ 90°, in order of rising 2θ:
2theta  Rel. int.
27.81  46
31.08  79
31.40  35
31.55  100
31.72  61
33.42  92
34.17  66
34.50  30
34.65  39
60.46  27

Cell and atoms:
Unit cell a=9.5486 b=6.5206 c=12.2489 alpha=90.00 beta=129.49 gamma=90.00
Positions (direct):
1 La 0.1152 0.2358 0.3698
2 La 0.1152 0.2642 0.8698
3 La 0.3459 0.7083 0.4792
4 La 0.3459 0.7917 0.9792
5 La 0.3601 0.5177 0.7496
6 La 0.3601 0.9823 0.2496
7 La 0.6399 0.0177 0.7504
8 La 0.6399 0.4823 0.2504
9 La 0.6541 0.2083 0.0208
10 La 0.6541 0.2917 0.5208
11 La 0.8848 0.7358 0.1302
12 La 0.8848 0.7642 0.6302
13 In 0.2161 0.0172 0.6669
14 In 0.2161 0.4828 0.1669
15 In 0.7839 0.5172 0.8331
16 In 0.7839 0.9828 0.3331
17 Tc 0.0594 0.6406 0.4752
18 Tc 0.0594 0.8594 0.9752
19 Tc 0.9406 0.1406 0.0248
20 Tc 0.9406 0.3594 0.5248

=====

4.
Simulated XRD peak list of FeHgAu2 for a wavelength of 1.5418 Å, from the GGA-PBE geometry in Alexandria.
No peak broadening, texture or thermal motion is included.

Principal peaks in the range 15° ≤ 2θ ≤ 90°, in order of rising 2θ:
2theta  Rel. int.
32.41  14
32.86  8
37.73  100
43.61  35
44.31  13
63.38  12
63.92  18
65.32  8
76.17  26
80.58  10

Cell and atoms:
Unit cell a=2.9352 b=2.9352 c=8.1762 alpha=90.00 beta=90.00 gamma=90.00
Positions (direct):
1 Fe 0.0000 0.0000 0.0000
2 Hg 0.5000 0.5000 0.2397
3 Au 0.0000 0.0000 0.5207
4 Au 0.5000 0.5000 0.7848

=====

5.
Simulated XRD peak list of Hf2UMnC4 for a wavelength of 1.5418 Å, from the GGA-PBE geometry in Alexandria.
No peak broadening, texture or thermal motion is included.

Principal peaks in the range 15° ≤ 2θ ≤ 90°, in order of rising 2θ:
2theta  Rel. int.
29.05  78
32.02  51
32.44  31
32.83  100
37.49  39
40.16  53
50.54  26
52.26  26
55.98  26
79.67  20

Cell and atoms:
Unit cell a=5.8239 b=5.8239 c=11.0414 alpha=90.00 beta=90.00 gamma=147.39
Positions (direct):
1 Hf 0.1309 0.8691 0.5458
2 Hf 0.1309 0.8691 0.9542
3 Hf 0.8691 0.1309 0.0458
4 Hf 0.8691 0.1309 0.4542
5 U 0.3988 0.6012 0.7500
6 U 0.6012 0.3988 0.2500
7 Mn 0.3411 0.6589 0.2500
8 Mn 0.6589 0.3411 0.7500
9 C 0.0638 0.9362 0.7500
10 C 0.2322 0.7678 0.1270
11 C 0.2322 0.7678 0.3730
12 C 0.5000 0.5000 0.0000
13 C 0.5000 0.5000 0.5000
14 C 0.7678 0.2322 0.6270
15 C 0.7678 0.2322 0.8730
16 C 0.9362 0.0638 0.2500

=====

6.
Simulated XRD peak list of Pm2DyTmTl2 for a wavelength of 1.5418 Å, from the GGA-PBE geometry in Alexandria.
No peak broadening, texture or thermal motion is included.

Principal peaks in the range 15° ≤ 2θ ≤ 90°, in order of rising 2θ:
2theta  Rel. int.
29.49  18
31.38  58
31.50  22
31.74  100
32.63  81
34.39  34
35.04  58
37.37  25
52.16  19
60.79  17

Cell and atoms:
Unit cell a=5.1222 b=10.1283 c=6.8618 alpha=90.00 beta=90.00 gamma=90.00
Positions (direct):
1 Pm 0.0000 0.0434 0.0000
2 Pm 0.0000 0.9566 0.5000
3 Pm 0.5000 0.1872 0.2742
4 Pm 0.5000 0.8128 0.7742
5 Dy 0.5000 0.4582 0.9049
6 Dy 0.5000 0.5418 0.4049
7 Tm 0.0000 0.3149 0.6219
8 Tm 0.0000 0.6851 0.1219
9 Tl 0.0000 0.3753 0.1627
10 Tl 0.0000 0.6247 0.6627
11 Tl 0.5000 0.1443 0.7429
12 Tl 0.5000 0.8557 0.2429

=====

7.
Simulated XRD peak list of HfGaPd3 for a wavelength of 1.5418 Å, from the GGA-PBE geometry in Alexandria.
No peak broadening, texture or thermal motion is included.

Principal peaks in the range 15° ≤ 2θ ≤ 90°, in order of rising 2θ:
2theta  Rel. int.
32.67  30
36.58  21
40.08  44
40.41  100
41.80  16
44.16  38
59.30  11
73.05  17
77.75  11
84.41  12

Cell and atoms:
Unit cell a=4.4989 b=5.5385 c=6.9130 alpha=90.00 beta=90.00 gamma=90.00
Positions (direct):
1 Hf 0.2500 0.2500 0.1502
2 Hf 0.7500 0.7500 0.8498
3 Ga 0.2500 0.7500 0.4365
4 Ga 0.7500 0.2500 0.5635
5 Pd 0.2500 0.0096 0.7330
6 Pd 0.2500 0.4904 0.7330
7 Pd 0.2500 0.7500 0.0808
8 Pd 0.7500 0.2500 0.9192
9 Pd 0.7500 0.5096 0.2670
10 Pd 0.7500 0.9904 0.2670

=====

8.
Simulated XRD peak list of TaMo6 for a wavelength of 1.5418 Å, from the GGA-PBE geometry in Alexandria.
No peak broadening, texture or thermal motion is included.

Principal peaks in the range 15° ≤ 2θ ≤ 90°, in order of rising 2θ:
2theta  Rel. int.
15.90  1
28.32  2
30.55  2
34.62  2
40.04  100
40.89  1
52.23  1
57.92  16
72.74  33
86.43  11

Cell and atoms:
Unit cell a=3.1838 b=3.1838 c=22.2980 alpha=90.00 beta=90.00 gamma=90.00
Positions (direct):
1 Ta 0.0000 0.0000 0.0000
2 Ta 0.5000 0.5000 0.5000
3 Mo 0.0000 0.0000 0.1432
4 Mo 0.0000 0.0000 0.2845
5 Mo 0.0000 0.0000 0.4259
6 Mo 0.0000 0.0000 0.5741
7 Mo 0.0000 0.0000 0.7155
8 Mo 0.0000 0.0000 0.8568
9 Mo 0.5000 0.5000 0.0741
10 Mo 0.5000 0.5000 0.2155
11 Mo 0.5000 0.5000 0.3568
12 Mo 0.5000 0.5000 0.6432
13 Mo 0.5000 0.5000 0.7845
14 Mo 0.5000 0.5000 0.9259

=====

9.
Simulated XRD peak list of LiAcErSe3 for a wavelength of 1.5418 Å, from the GGA-PBE geometry in Alexandria.
No peak broadening, texture or thermal motion is included.

Principal peaks in the range 15° ≤ 2θ ≤ 90°, in order of rising 2θ:
2theta  Rel. int.
20.27  31
21.37  26
23.86  36
30.42  100
30.57  97
33.45  22
39.51  28
39.98  34
42.06  32
43.95  28

Cell and atoms:
Unit cell a=8.5961 b=4.1206 c=9.0593 alpha=90.00 beta=104.69 gamma=90.00
Positions (direct):
1 Li 0.0884 0.2500 0.0879
2 Li 0.9116 0.7500 0.9121
3 Ac 0.1936 0.2500 0.7307
4 Ac 0.8064 0.7500 0.2693
5 Er 0.3331 0.7500 0.3448
6 Er 0.6669 0.2500 0.6552
7 Se 0.1034 0.2500 0.3675
8 Se 0.2189 0.7500 0.0123
9 Se 0.4450 0.7500 0.6734
10 Se 0.5550 0.2500 0.3266
11 Se 0.7811 0.2500 0.9877
12 Se 0.8966 0.7500 0.6325

=====

10.
Simulated XRD peak list of ThGaO for a wavelength of 1.5418 Å, from the GGA-PBE geometry in Alexandria.
No peak broadening, texture or thermal motion is included.

Principal peaks in the range 15° ≤ 2θ ≤ 90°, in order of rising 2θ:
2theta  Rel. int.
22.02  21
28.06  52
29.50  13
31.79  100
35.95  44
47.17  36
49.66  29
60.18  17
60.96  14
81.69  15

Cell and atoms:
Unit cell a=12.1117 b=3.6705 c=6.3609 alpha=90.00 beta=90.00 gamma=90.00
Positions (direct):
1 Th 0.2045 0.0000 0.0000
2 Th 0.2045 0.5000 0.5000
3 Th 0.7955 0.0000 0.0000
4 Th 0.7955 0.5000 0.5000
5 Ga 0.0000 0.0000 0.3334
6 Ga 0.0000 0.5000 0.8334
7 Ga 0.5000 0.0000 0.3323
8 Ga 0.5000 0.5000 0.8323
9 O 0.2835 0.0000 0.3331
10 O 0.2835 0.5000 0.8331
11 O 0.7165 0.0000 0.3331
12 O 0.7165 0.5000 0.8331

=====

11.
Simulated XRD peak list of LaPr7Ho3 for a wavelength of 1.5418 Å, from the GGA-PBE geometry in Alexandria.
No peak broadening, texture or thermal motion is included.

Principal peaks in the range 15° ≤ 2θ ≤ 90°, in order of rising 2θ:
2theta  Rel. int.
30.03  87
30.16  77
30.77  100
32.88  58
36.43  71
49.80  25
49.97  24
51.61  18
62.41  29
62.49  18

Cell and atoms:
Unit cell a=7.8786 b=7.8786 c=6.5118 alpha=94.56 beta=94.56 gamma=81.71
Positions (direct):
1 La 0.0000 0.0000 0.0000
2 Pr 0.0000 0.0000 0.5000
3 Pr 0.0774 0.4290 0.7594
4 Pr 0.2661 0.2661 0.2866
5 Pr 0.4290 0.0774 0.7594
6 Pr 0.5710 0.9226 0.2406
7 Pr 0.7339 0.7339 0.7134
8 Pr 0.9226 0.5710 0.2406
9 Ho 0.3322 0.6678 0.5000
10 Ho 0.5000 0.5000 0.0000
11 Ho 0.6678 0.3322 0.5000

=====

12.
Simulated XRD peak list of Ba4CdHg2 for a wavelength of 1.5418 Å, from the GGA-PBE geometry in Alexandria.
No peak broadening, texture or thermal motion is included.

Principal peaks in the range 15° ≤ 2θ ≤ 90°, in order of rising 2θ:
2theta  Rel. int.
25.91  14
30.01  100
30.11  50
43.11  19
53.23  20
53.42  40
62.38  12
71.00  17
86.38  11
86.63  10

Cell and atoms:
Unit cell a=8.3934 b=8.3934 c=8.4497 alpha=90.00 beta=90.00 gamma=90.00
Positions (direct):
1 Ba 0.2500 0.2500 0.2500
2 Ba 0.2500 0.2500 0.7500
3 Ba 0.2500 0.7500 0.2500
4 Ba 0.2500 0.7500 0.7500
5 Ba 0.7500 0.2500 0.2500
6 Ba 0.7500 0.2500 0.7500
7 Ba 0.7500 0.7500 0.2500
8 Ba 0.7500 0.7500 0.7500
9 Cd 0.0000 0.0000 0.0000
10 Cd 0.5000 0.5000 0.5000
11 Hg 0.0000 0.5000 0.0000
12 Hg 0.0000 0.5000 0.5000
13 Hg 0.5000 0.0000 0.0000
14 Hg 0.5000 0.0000 0.5000